Structure and simulated powder diffraction line list of V5BO9 (the PBE+U geometry in the Materials Project; Cu Kα).
Peak positions follow from Bragg's law for the DFT cell and can differ from measured ones.

Main lines, most intense first (2θ from 15° to 90°):
| two_theta | d [Å] | Rel. int. |
| --- | --- | --- |
| 15.35 | 5.772 | 100.0 |
| 18.74 | 4.735 | 47.5 |
| 24.68 | 3.607 | 34.1 |
| 30.95 | 2.889 | 32.4 |
| 32.97 | 2.717 | 28.7 |
| 56.34 | 1.633 | 18.9 |
| 36.85 | 2.439 | 17.4 |
| 45.62 | 1.988 | 13.6 |
| 50.26 | 1.815 | 12.3 |
| 35.82 | 2.507 | 11.2 |
| 36.25 | 2.478 | 11.2 |
| 64.50 | 1.445 | 10.7 |

Atomic structure:
```
V5BO9
1.0
3.078 -7.998 0.000
3.078 7.998 0.000
0.000 0.000 8.358
V B O
10 2 18
direct
0.058 0.942 0.500
0.140 0.364 0.302
0.199 0.801 0.136
0.246 0.754 0.485
0.364 0.140 0.802
0.636 0.860 0.302
0.754 0.246 0.985
0.801 0.199 0.636
0.860 0.636 0.802
0.942 0.058 0.000
0.484 0.516 0.029
0.516 0.484 0.529
0.045 0.955 0.875
0.053 0.429 0.500
0.147 0.853 0.346
0.164 0.836 0.665
0.257 0.351 0.091
0.308 0.692 0.248
0.351 0.257 0.591
0.429 0.053 0.000
0.458 0.542 0.409
0.542 0.458 0.909
0.571 0.947 0.500
0.649 0.743 0.091
0.692 0.308 0.748
0.743 0.649 0.591
0.836 0.164 0.165
0.853 0.147 0.846
0.947 0.571 0.000
0.955 0.045 0.375
```